Structure and theoretical PXRD pattern of Li2Ni8Mo (the GGA-PBE geometry in Alexandria; Cu Kα (weighted mean of Kα1 and Kα2)).
No peak broadening, texture or thermal motion is included.

Cell and atoms:
a b c (Å): 5.9033 5.9033 3.7944
angles (deg): 90.00 90.00 104.05
Element x y z (fractional)
Li 0.1155 0.8845 0.0000
Li 0.8845 0.1155 0.0000
Ni 0.1679 0.1679 0.5000
Ni 0.1936 0.4631 0.0000
Ni 0.2384 0.7617 0.5000
Ni 0.4631 0.1936 0.0000
Ni 0.5369 0.8064 0.0000
Ni 0.7617 0.2384 0.5000
Ni 0.8064 0.5369 0.0000
Ni 0.8321 0.8321 0.5000
Mo 0.5000 0.5000 0.5000

The 12 most intense peaks (2θ from 10° to 80°), in order of rising 2θ:
d 5.727, 2θ 15.47, rel. 41; d 2.941, 2θ 30.40, rel. 14; d 2.624, 2θ 34.17, rel. 54; d 2.282, 2θ 39.48, rel. 32; d 1.994, 2θ 45.49, rel. 85; d 1.984, 2θ 45.74, rel. 100; d 1.959, 2θ 46.34, rel. 21; d 1.909, 2θ 47.64, rel. 53; d 1.897, 2θ 47.95, rel. 45; d 1.476, 2θ 62.99, rel. 10; d 1.363, 2θ 68.89, rel. 12; d 1.346, 2θ 69.91, rel. 31

Structure and theoretical PXRD pattern of LiNi4Mo (the GGA-PBE geometry in Alexandria; Cu Kα (weighted mean of Kα1 and Kα2)).
No peak broadening, texture or thermal motion is included.

Cell and atoms:
a b c (Å): 4.4324 4.4324 4.3611
angles (deg): 97.91 97.91 121.12
Element x y z (fractional)
Li 0.0000 0.0000 0.0000
Ni 0.1665 0.8335 0.5000
Ni 0.3347 0.6653 0.0000
Ni 0.6653 0.3347 0.0000
Ni 0.8335 0.1665 0.5000
Mo 0.5000 0.5000 0.5000

The 12 most intense peaks (2θ from 10° to 80°), in order of rising 2θ:
d 4.187, 2θ 21.22, rel. 22; d 3.678, 2θ 24.20, rel. 32; d 2.838, 2θ 31.52, rel. 15; d 2.192, 2θ 41.19, rel. 8; d 2.092, 2θ 43.24, rel. 100; d 2.071, 2θ 43.72, rel. 97; d 2.049, 2θ 44.20, rel. 6; d 1.834, 2θ 49.70, rel. 65; d 1.744, 2θ 52.48, rel. 27; d 1.308, 2θ 72.25, rel. 10; d 1.287, 2θ 73.62, rel. 9; d 1.264, 2θ 75.18, rel. 35

Structure and theoretical PXRD pattern of LiNi5Mo (the GGA-PBE geometry in Alexandria; Cu Kα (weighted mean of Kα1 and Kα2)).
No peak broadening, texture or thermal motion is included.

Cell and atoms:
a b c (Å): 4.4081 5.6956 6.6951
angles (deg): 89.32 89.71 74.35
Element x y z (fractional)
Li 0.1731 0.3704 0.2123
Li 0.8269 0.6296 0.7877
Ni 0.0700 0.7890 0.0687
Ni 0.0773 0.2820 0.5743
Ni 0.2272 0.8588 0.7144
Ni 0.3479 0.9328 0.3579
Ni 0.3716 0.4306 0.8583
Ni 0.6284 0.5694 0.1417
Ni 0.6521 0.0672 0.6421
Ni 0.7728 0.1412 0.2856
Ni 0.9227 0.7180 0.4257
Ni 0.9300 0.2110 0.9313
Mo 0.5000 0.0000 0.0000
Mo 0.5000 0.5000 0.5000

The 12 most intense peaks (2θ from 10° to 80°), in order of rising 2θ:
d 4.265, 2θ 20.83, rel. 14; d 2.084, 2θ 43.43, rel. 51; d 2.075, 2θ 43.62, rel. 53; d 2.065, 2θ 43.84, rel. 100; d 1.809, 2θ 50.45, rel. 32; d 1.791, 2θ 51.00, rel. 31; d 1.784, 2θ 51.19, rel. 31; d 1.277, 2θ 74.29, rel. 9; d 1.275, 2θ 74.38, rel. 9; d 1.270, 2θ 74.76, rel. 9; d 1.265, 2θ 75.08, rel. 9; d 1.263, 2θ 75.21, rel. 18